# LiMn2P2O8
Calculated powder X-ray diffraction pattern, CuKα. Input: a cell relaxed with PBE+U.
Lines closer than 0.1° are merged.

```
LiMn2P2O8
1.0
7.8826 0.0000 0.0000
0.0000 5.4950 0.0000
-2.2819 0.0000 8.1148
Li Mn P O
2 4 4 16
direct
0.0000 0.1609 0.0000
0.0000 0.8391 0.5000
0.1588 0.3558 0.4026
0.1588 0.6442 0.9026
0.5884 0.1967 0.6418
0.5884 0.8033 0.1418
0.4037 0.1599 0.9503
0.4037 0.8401 0.4503
0.8963 0.3420 0.6220
0.8963 0.6580 0.1220
0.0233 0.1827 0.5555
0.0233 0.8173 0.0555
0.2323 0.2855 0.9653
0.2323 0.7145 0.4653
0.3742 0.1308 0.4476
0.3742 0.8692 0.9476
0.4374 0.2444 0.7875
0.4374 0.7556 0.2875
0.5622 0.1856 0.1011
0.5622 0.8144 0.6011
0.7110 0.3492 0.4955
0.7110 0.6508 0.9955
0.8430 0.2219 0.7727
0.8430 0.7781 0.2727
0.9819 0.4055 0.1690
0.9819 0.5945 0.6690
```

Largest 10 diffraction maxima, by intensity, 5° ≤ 2θ ≤ 70°:
- d 4.063, intensity 100
- d 4.550, intensity 80
- d 3.665, intensity 70
- d 4.451, intensity 63
- d 2.793, intensity 49
- d 3.235, intensity 47
- d 2.747, intensity 34
- d 2.718, intensity 24
- d 1.595, intensity 24
- d 2.602, intensity 16

---

# LiMnPO4
Calculated powder X-ray diffraction pattern, CuKα. Input: a cell relaxed with PBE+U.
Lines closer than 0.1° are merged.

```
LiMnPO4
1.0
10.3148 0.0000 0.0000
0.0000 5.1393 0.0000
0.0000 0.0000 6.9523
Li Mn P O
4 4 4 16
direct
0.1517 0.1934 0.0000
0.3483 0.6934 0.5000
0.6517 0.3066 0.0000
0.8483 0.8066 0.5000
0.1531 0.1945 0.5001
0.3469 0.6945 0.0001
0.6531 0.3055 0.5001
0.8469 0.8055 0.0001
0.0962 0.6910 0.7502
0.4038 0.1910 0.2502
0.5962 0.8090 0.7502
0.9038 0.3090 0.2502
0.0506 0.2431 0.2444
0.1189 0.3916 0.7569
0.1572 0.8155 0.9334
0.1635 0.7988 0.5660
0.3365 0.2988 0.0660
0.3428 0.3155 0.4334
0.3811 0.8916 0.2569
0.4494 0.7431 0.7444
0.5506 0.2569 0.2444
0.6189 0.1084 0.7569
0.6572 0.6845 0.9334
0.6635 0.7012 0.5660
0.8365 0.2012 0.0660
0.8428 0.1845 0.4334
0.8811 0.6084 0.2569
0.9494 0.7569 0.7444
```

Largest 10 diffraction maxima, by intensity, 5° ≤ 2θ ≤ 70°:
- d 4.137, intensity 100
- d 2.570, intensity 17
- d 2.579, intensity 16
- d 2.883, intensity 13
- d 2.186, intensity 12
- d 2.514, intensity 10
- d 2.773, intensity 9
- d 2.113, intensity 8
- d 1.541, intensity 7
- d 3.225, intensity 6

---

# LiMn2P2O8
Calculated powder X-ray diffraction pattern, CuKα. Input: a cell relaxed with PBE+U.
Lines closer than 0.1° are merged.

```
LiMn2P2O8
1.0
4.7406 0.0000 0.0000
1.5266 4.9702 0.0000
1.9963 -0.5769 7.1483
Li Mn P O
1 2 2 8
direct
0.0000 0.0000 0.0000
0.6678 0.9971 0.7424
0.7296 0.4220 0.3852
0.0600 0.4539 0.7068
0.4192 0.0282 0.2209
0.0255 0.6936 0.8378
0.0948 0.1165 0.3625
0.3889 0.9974 0.0211
0.4088 0.3104 0.6062
0.6003 0.2408 0.2077
0.6099 0.7692 0.2826
0.8720 0.6004 0.5654
0.9227 0.2393 0.8007
```

Largest 10 diffraction maxima, by intensity, 5° ≤ 2θ ≤ 70°:
- d 3.738, intensity 100
- d 3.574, intensity 97
- d 7.148, intensity 90
- d 4.234, intensity 89
- d 3.917, intensity 86
- d 3.188, intensity 80
- d 3.327, intensity 79
- d 4.352, intensity 79
- d 2.925, intensity 76
- d 2.901, intensity 58

---

# LiMnPO4
Calculated powder X-ray diffraction pattern, CuKα. Input: a cell relaxed with PBE+U.
Lines closer than 0.1° are merged.

```
LiMnPO4
1.0
3.8933 -7.7571 0.0000
3.8933 7.7571 0.0000
0.0000 0.0000 6.0430
Li Mn P O
4 4 4 16
direct
0.2378 0.7625 0.0000
0.2375 0.7622 0.5000
0.7622 0.2375 0.0000
0.7625 0.2378 0.5000
0.2032 0.3974 0.2498
0.3974 0.2032 0.7498
0.6026 0.7968 0.7498
0.7968 0.6026 0.2498
0.1634 0.4209 0.7502
0.4209 0.1634 0.2502
0.5791 0.8366 0.2502
0.8366 0.5791 0.7502
0.0383 0.3488 0.5367
0.0379 0.3490 0.9635
0.2928 0.3559 0.7511
0.2967 0.6479 0.7499
0.3488 0.0383 0.0367
0.3490 0.0379 0.4635
0.3521 0.7033 0.2499
0.3559 0.2928 0.2511
0.6441 0.7072 0.2511
0.6479 0.2967 0.2499
0.6512 0.9617 0.0367
0.6510 0.9621 0.4635
0.7033 0.3521 0.7499
0.7072 0.6441 0.7511
0.9617 0.6512 0.5367
0.9621 0.6510 0.9635
```

Largest 10 diffraction maxima, by intensity, 5° ≤ 2θ ≤ 70°:
- d 3.886, intensity 100
- d 6.959, intensity 43
- d 2.748, intensity 27
- d 3.021, intensity 26
- d 1.953, intensity 19
- d 2.772, intensity 18
- d 2.385, intensity 16
- d 1.754, intensity 11
- d 1.379, intensity 11
- d 1.621, intensity 11

---

# LiMnPO4
Calculated powder X-ray diffraction pattern, CuKα. Input: a cell relaxed with PBE+U.
Lines closer than 0.1° are merged.

```
LiMnPO4
1.0
4.3549 -2.5708 0.0000
4.3549 2.5708 0.0000
-2.5787 0.0000 8.2253
Li Mn P O
2 2 2 8
direct
0.1824 0.8176 0.5000
0.8176 0.1824 0.0000
0.5533 0.9328 0.2442
0.9328 0.5533 0.7442
0.1775 0.5647 0.1221
0.5647 0.1775 0.6221
0.0278 0.6586 0.2769
0.2051 0.8376 0.0882
0.2966 0.5045 0.6474
0.4729 0.9661 0.4761
0.5045 0.2966 0.1474
0.6586 0.0278 0.7769
0.8376 0.2051 0.5882
0.9661 0.4729 0.9761
```

Largest 10 diffraction maxima, by intensity, 5° ≤ 2θ ≤ 70°:
- d 4.146, intensity 100
- d 2.568, intensity 40
- d 4.113, intensity 37
- d 2.186, intensity 16
- d 2.527, intensity 16
- d 2.507, intensity 15
- d 3.263, intensity 14
- d 2.392, intensity 8
- d 1.477, intensity 8
- d 1.746, intensity 7

---

# LiMnPO4
Calculated powder X-ray diffraction pattern, CuKα. Input: a cell relaxed with PBE+U.
Lines closer than 0.1° are merged.

```
LiMnPO4
1.0
5.3185 0.0000 0.0000
-2.6593 4.6060 0.0000
0.0000 0.0000 13.4057
Li Mn P O
3 3 3 12
direct
0.0000 0.0000 0.0000
0.0000 0.0000 0.3333
0.0000 0.0000 0.6667
0.0000 0.5000 0.1667
0.5000 0.0000 0.5000
0.5000 0.5000 0.8333
0.0000 0.5000 0.6667
0.5000 0.0000 0.0000
0.5000 0.5000 0.3333
0.1801 0.4055 0.7316
0.1801 0.7746 0.6017
0.2254 0.4055 0.2684
0.2254 0.8199 0.0649
0.4055 0.1801 0.9351
0.4055 0.2254 0.3983
0.5945 0.7746 0.3983
0.5945 0.8199 0.9351
0.7746 0.1801 0.0649
0.7746 0.5945 0.2684
0.8199 0.2254 0.6017
0.8199 0.5945 0.7316
```

Largest 10 diffraction maxima, by intensity, 5° ≤ 2θ ≤ 70°:
- d 3.796, intensity 100
- d 2.083, intensity 20
- d 1.604, intensity 12
- d 4.606, intensity 10
- d 1.685, intensity 9
- d 2.710, intensity 8
- d 2.303, intensity 7
- d 1.545, intensity 5
- d 1.418, intensity 4
- d 2.659, intensity 4

---

# Li2Mn2P3O12
Calculated powder X-ray diffraction pattern, CuKα. Input: a cell relaxed with PBE+U.
Lines closer than 0.1° are merged.

```
Li2Mn2P3O12
1.0
8.3163 0.0000 0.0000
4.0705 7.2591 0.0000
0.0930 4.4982 7.5415
Li Mn P O
4 4 6 24
direct
0.1889 0.3888 0.3602
0.2318 0.9316 0.6398
0.7682 0.0684 0.3602
0.8111 0.6112 0.6398
0.1579 0.6903 0.4567
0.3568 0.2849 0.0669
0.6432 0.7151 0.9331
0.8421 0.3097 0.5433
0.0415 0.2059 0.2496
0.2334 0.2219 0.7435
0.4655 0.5091 0.2466
0.5345 0.4909 0.7534
0.7666 0.7781 0.2565
0.9585 0.7941 0.7504
0.0145 0.3045 0.7042
0.0235 0.0091 0.3128
0.0356 0.2502 0.4118
0.1166 0.6054 0.9146
0.2457 0.1509 0.2375
0.2666 0.3844 0.5837
0.2890 0.2017 0.9183
0.3289 0.6735 0.6195
0.3370 0.6573 0.3139
0.3548 0.0118 0.7455
0.3852 0.3801 0.2356
0.4783 0.6463 0.0648
0.5217 0.3537 0.9352
0.6148 0.6199 0.7644
0.6452 0.9882 0.2545
0.6630 0.3427 0.6861
0.6711 0.3265 0.3805
0.7110 0.7983 0.0817
0.7334 0.6156 0.4163
0.7543 0.8491 0.7625
0.8834 0.3946 0.0854
0.9644 0.7498 0.5882
0.9765 0.9909 0.6872
0.9855 0.6955 0.2958
```

Largest 10 diffraction maxima, by intensity, 5° ≤ 2θ ≤ 70°:
- d 3.604, intensity 100
- d 6.234, intensity 94
- d 5.996, intensity 91
- d 4.547, intensity 83
- d 4.455, intensity 77
- d 3.748, intensity 66
- d 4.365, intensity 65
- d 3.688, intensity 64
- d 3.117, intensity 62
- d 2.998, intensity 62